No. 1
This entry pairs a crystal structure of LiFe2OF3 with its simulated powder X-ray diffraction pattern. Radiation: Cu Ka. Structure: a DFT-relaxed cell (GGA+U, the Materials Project).
Lines closer than 0.1° are merged.

Most intense lines, 2θ = 5–70°, in order of rising 2θ:
2θ/deg, I/Imax
17.1, 501
23.9, 860
24.0, 1000
37.6, 433
38.1, 777
49.1, 764

Structure:
a = 6.125 Å, b = 6.173 Å, c = 10.361 Å
α = 90.33°, β = 90.20°, γ = 119.53°
Fractional positions:
Li 0.168 0.337 0.488
Li 0.169 0.338 0.987
Li 0.831 0.662 0.013
Li 0.832 0.663 0.512
Fe 0.000 0.001 0.250
Fe 0.000 0.999 0.750
Fe 0.001 0.501 0.750
Fe 0.500 0.000 0.000
Fe 0.500 0.000 0.500
Fe 0.500 0.500 0.250
Fe 0.500 0.500 0.750
Fe 0.999 0.499 0.250
O 0.171 0.341 0.667
O 0.172 0.343 0.167
O 0.828 0.657 0.833
O 0.829 0.659 0.333
F 0.151 0.836 0.611
F 0.156 0.840 0.109
F 0.318 0.160 0.891
F 0.320 0.165 0.391
F 0.327 0.654 0.894
F 0.331 0.659 0.397
F 0.669 0.341 0.603
F 0.673 0.346 0.106
F 0.680 0.835 0.609
F 0.682 0.840 0.109
F 0.844 0.160 0.891
F 0.849 0.164 0.389

No. 2
This entry pairs a crystal structure of Cd2Ni6Te3PbO18 with its simulated powder X-ray diffraction pattern. Radiation: Cu Ka. Structure: a DFT-relaxed cell (GGA+U, the Materials Project).
Lines closer than 0.1° are merged.

Most intense lines, 2θ = 5–70°, in order of rising 2θ:
2θ/deg, I/Imax
27.3, 580
32.7, 1000
35.3, 451
48.9, 245
58.3, 192
60.0, 232

Structure:
a = 9.491 Å, b = 9.491 Å, c = 9.034 Å
α = 90.00°, β = 90.00°, γ = 120.00°
Fractional positions:
Cd 0.333 0.667 0.065
Cd 0.333 0.667 0.435
Cd 0.667 0.333 0.565
Cd 0.667 0.333 0.935
Ni 0.007 0.650 0.088
Ni 0.007 0.650 0.412
Ni 0.350 0.357 0.088
Ni 0.350 0.357 0.412
Ni 0.357 0.007 0.588
Ni 0.357 0.007 0.912
Ni 0.643 0.993 0.088
Ni 0.643 0.993 0.412
Ni 0.650 0.643 0.588
Ni 0.650 0.643 0.912
Ni 0.993 0.350 0.588
Ni 0.993 0.350 0.912
Te 0.023 0.664 0.750
Te 0.336 0.359 0.750
Te 0.359 0.023 0.250
Te 0.641 0.977 0.750
Te 0.664 0.641 0.250
Te 0.977 0.336 0.250
Pb 0.000 0.000 0.000
Pb 0.000 0.000 0.500
O 0.102 0.304 0.092
O 0.102 0.304 0.408
O 0.107 0.292 0.750
O 0.123 0.607 0.589
O 0.123 0.607 0.911
O 0.127 0.580 0.250
O 0.186 0.893 0.750
O 0.202 0.898 0.092
O 0.202 0.898 0.408
O 0.292 0.186 0.250
O 0.304 0.202 0.592
O 0.304 0.202 0.908
O 0.393 0.516 0.589
O 0.393 0.516 0.911
O 0.420 0.547 0.250
O 0.453 0.873 0.250
O 0.484 0.877 0.589
O 0.484 0.877 0.911
O 0.516 0.123 0.089
O 0.516 0.123 0.411
O 0.547 0.127 0.750
O 0.580 0.453 0.750
O 0.607 0.484 0.089
O 0.607 0.484 0.411
O 0.696 0.798 0.092
O 0.696 0.798 0.408
O 0.708 0.814 0.750
O 0.798 0.102 0.592
O 0.798 0.102 0.908
O 0.814 0.107 0.250
O 0.873 0.420 0.750
O 0.877 0.393 0.089
O 0.877 0.393 0.411
O 0.893 0.708 0.250
O 0.898 0.696 0.592
O 0.898 0.696 0.908

No. 3
This entry pairs a crystal structure of VO2F with its simulated powder X-ray diffraction pattern. Radiation: Cu Ka. Structure: a DFT-relaxed cell (GGA+U, the Materials Project).
Lines closer than 0.1° are merged.

Most intense lines, 2θ = 5–70°, in order of rising 2θ:
2θ/deg, I/Imax
13.0, 283
19.3, 1000
22.4, 178
28.0, 629
31.5, 176
50.5, 242

Structure:
a = 13.628 Å, b = 3.612 Å, c = 4.873 Å
α = 90.00°, β = 90.00°, γ = 90.00°
Fractional positions:
V 0.089 0.250 0.075
V 0.411 0.750 0.575
V 0.589 0.250 0.425
V 0.911 0.750 0.925
O 0.058 0.750 0.977
O 0.104 0.250 0.401
O 0.396 0.750 0.901
O 0.442 0.250 0.477
O 0.558 0.750 0.523
O 0.604 0.250 0.099
O 0.896 0.750 0.599
O 0.942 0.250 0.023
F 0.208 0.250 0.928
F 0.292 0.750 0.428
F 0.708 0.250 0.572
F 0.792 0.750 0.072

No. 4
This entry pairs a crystal structure of VOF with its simulated powder X-ray diffraction pattern. Radiation: Cu Ka. Structure: a DFT-relaxed cell (GGA+U, the Materials Project).
Lines closer than 0.1° are merged.

Most intense lines, 2θ = 5–70°, in order of rising 2θ:
2θ/deg, I/Imax
29.0, 1000
32.2, 982
42.7, 294
46.2, 645
51.7, 592
60.5, 304

Structure:
a = 6.280 Å, b = 5.920 Å, c = 5.227 Å
α = 68.25°, β = 61.11°, γ = 50.64°
Fractional positions:
V 0.074 0.676 0.074
V 0.324 0.926 0.324
V 0.676 0.074 0.676
V 0.926 0.324 0.926
O 0.009 0.009 0.741
O 0.259 0.259 0.991
O 0.741 0.741 0.009
O 0.991 0.991 0.259
F 0.000 0.500 0.500
F 0.500 0.000 0.500
F 0.500 0.500 0.000
F 0.500 0.500 0.500

No. 5
This entry pairs a crystal structure of Sr2MnWO6 with its simulated powder X-ray diffraction pattern. Radiation: Cu Ka. Structure: a DFT-relaxed cell (GGA+U, the Materials Project).
Lines closer than 0.1° are merged.

Most intense lines, 2θ = 5–70°, in order of rising 2θ:
2θ/deg, I/Imax
18.8, 259
30.9, 198
31.1, 1000
44.4, 228
55.3, 172
55.4, 179

Structure:
a = 5.747 Å, b = 5.790 Å, c = 9.950 Å
α = 90.00°, β = 125.20°, γ = 90.00°
Fractional positions:
Sr 0.245 0.032 0.251
Sr 0.245 0.468 0.751
Sr 0.755 0.532 0.249
Sr 0.755 0.968 0.749
Mn 0.500 0.000 0.000
Mn 0.500 0.500 0.500
W 0.000 0.000 0.500
W 0.000 0.500 0.000
O 0.161 0.230 0.962
O 0.161 0.270 0.462
O 0.235 0.702 0.966
O 0.235 0.798 0.466
O 0.304 0.017 0.736
O 0.304 0.483 0.236
O 0.696 0.517 0.764
O 0.696 0.983 0.264
O 0.765 0.202 0.534
O 0.765 0.298 0.034
O 0.839 0.730 0.538
O 0.839 0.770 0.038